Record 1
# CeMnIn
Simulated PXRD pattern, Cu Kα (weighted mean of Kα1 and Kα2). Input: a PBE-relaxed structure.

Crystal structure
a = 3.3349 Å, b = 4.9207 Å, c = 8.5240 Å
α = 90.00°, β = 90.00°, γ = 90.00°
Sites, in units of the cell vectors:
1 Ce 0.0000 0.0000 0.0000
2 Ce 0.0000 0.5000 0.5000
3 Mn 0.5000 0.0000 0.6658
4 Mn 0.5000 0.5000 0.1658
5 In 0.5000 0.0000 0.3331
6 In 0.5000 0.5000 0.8331

Largest 8 diffraction maxima, in order of rising 2θ, 2θ = 5–70°:
20.84 deg, I 173
34.14 deg, I 1000
36.52 deg, I 754
50.85 deg, I 318
55.08 deg, I 74
64.21 deg, I 310
65.73 deg, I 129
67.90 deg, I 233

---

Record 2
# YHoZn2
Simulated PXRD pattern, Cu Kα (weighted mean of Kα1 and Kα2). Input: a PBE-relaxed structure.

Crystal structure
a = 7.1558 Å, b = 7.1558 Å, c = 7.1558 Å
α = 90.00°, β = 90.00°, γ = 90.00°
Sites, in units of the cell vectors:
1 Y 0.0000 0.0000 0.0000
2 Y 0.0000 0.5000 0.5000
3 Y 0.5000 0.0000 0.5000
4 Y 0.5000 0.5000 0.0000
5 Ho 0.0000 0.0000 0.5000
6 Ho 0.0000 0.5000 0.0000
7 Ho 0.5000 0.0000 0.0000
8 Ho 0.5000 0.5000 0.5000
9 Zn 0.2500 0.2500 0.2500
10 Zn 0.2500 0.2500 0.7500
11 Zn 0.2500 0.7500 0.2500
12 Zn 0.2500 0.7500 0.7500
13 Zn 0.7500 0.2500 0.2500
14 Zn 0.7500 0.2500 0.7500
15 Zn 0.7500 0.7500 0.2500
16 Zn 0.7500 0.7500 0.7500

Largest 8 diffraction maxima, in order of rising 2θ, 2θ = 5–70°:
21.51 deg, I 74
24.89 deg, I 97
35.48 deg, I 1000
41.87 deg, I 43
43.83 deg, I 29
51.05 deg, I 174
57.61 deg, I 40
63.71 deg, I 351

---

Record 3
# Zr5Al3N
Simulated PXRD pattern, Cu Kα (weighted mean of Kα1 and Kα2). Input: a PBE-relaxed structure.

Crystal structure
a = 8.2456 Å, b = 8.2456 Å, c = 5.6897 Å
α = 90.00°, β = 90.00°, γ = 120.00°
Sites, in units of the cell vectors:
1 Zr 0.0000 0.2232 0.2500
2 Zr 0.0000 0.7768 0.7500
3 Zr 0.2232 0.0000 0.2500
4 Zr 0.2232 0.2232 0.7500
5 Zr 0.3333 0.6667 0.0000
6 Zr 0.3333 0.6667 0.5000
7 Zr 0.6667 0.3333 0.0000
8 Zr 0.6667 0.3333 0.5000
9 Zr 0.7768 0.0000 0.7500
10 Zr 0.7768 0.7768 0.2500
11 Al 0.0000 0.4032 0.7500
12 Al 0.0000 0.5968 0.2500
13 Al 0.4032 0.0000 0.7500
14 Al 0.4032 0.4032 0.2500
15 Al 0.5968 0.0000 0.2500
16 Al 0.5968 0.5968 0.7500
17 N 0.0000 0.0000 0.0000
18 N 0.0000 0.0000 0.5000

Largest 8 diffraction maxima, in order of rising 2θ, 2θ = 5–70°:
33.19 deg, I 477
33.92 deg, I 380
36.86 deg, I 1000
37.79 deg, I 238
38.45 deg, I 651
55.01 deg, I 241
59.30 deg, I 240
59.58 deg, I 238

---

Record 4
# BaYCuSe3
Simulated PXRD pattern, Cu Kα (weighted mean of Kα1 and Kα2). Input: a PBE-relaxed structure.

Crystal structure
a = 7.3766 Å, b = 7.3766 Å, c = 10.7007 Å
α = 90.00°, β = 90.00°, γ = 146.99°
Sites, in units of the cell vectors:
1 Ba 0.2475 0.7525 0.7500
2 Ba 0.7525 0.2475 0.2500
3 Y 0.5000 0.5000 0.0000
4 Y 0.5000 0.5000 0.5000
5 Cu 0.0330 0.9670 0.2500
6 Cu 0.9670 0.0330 0.7500
7 Se 0.1340 0.8660 0.0605
8 Se 0.1340 0.8660 0.4395
9 Se 0.4314 0.5686 0.2500
10 Se 0.5686 0.4314 0.7500
11 Se 0.8660 0.1340 0.5605
12 Se 0.8660 0.1340 0.9395

Largest 8 diffraction maxima, in order of rising 2θ, 2θ = 5–70°:
28.02 deg, I 239
28.49 deg, I 260
29.72 deg, I 1000
33.14 deg, I 426
33.55 deg, I 658
42.07 deg, I 266
43.16 deg, I 312
51.72 deg, I 351

---

Record 5
# KAl2Si4O12
Simulated PXRD pattern, Cu Kα (weighted mean of Kα1 and Kα2). Input: a PBE-relaxed structure.

Crystal structure
a = 5.2212 Å, b = 5.2212 Å, c = 20.1532 Å
α = 92.59°, β = 92.59°, γ = 120.21°
Sites, in units of the cell vectors:
1 K 0.0997 0.9003 0.7500
2 K 0.9003 0.0997 0.2500
3 Al 0.1624 0.3254 0.0003
4 Al 0.3254 0.1624 0.5003
5 Al 0.6746 0.8376 0.4997
6 Al 0.8376 0.6746 0.9997
7 Si 0.1934 0.7092 0.1326
8 Si 0.2908 0.8066 0.3674
9 Si 0.3942 0.5353 0.6329
10 Si 0.4647 0.6058 0.8671
11 Si 0.5353 0.3942 0.1329
12 Si 0.6058 0.4647 0.3671
13 Si 0.7092 0.1934 0.6326
14 Si 0.8066 0.2908 0.8674
15 O 0.0169 0.9234 0.5492
16 O 0.0607 0.4179 0.6585
17 O 0.0766 0.9831 0.9508
18 O 0.1214 0.3968 0.8318
19 O 0.1356 0.6264 0.0533
20 O 0.3398 0.5259 0.1681
21 O 0.3736 0.8644 0.4467
22 O 0.3968 0.1214 0.3318
23 O 0.4139 0.5296 0.5534
24 O 0.4179 0.0607 0.1585
25 O 0.4704 0.5861 0.9466
26 O 0.4741 0.6602 0.3319
27 O 0.5259 0.3398 0.6681
28 O 0.5296 0.4139 0.0534
29 O 0.5821 0.9393 0.8415
30 O 0.5861 0.4704 0.4466
31 O 0.6032 0.8786 0.6682
32 O 0.6264 0.1356 0.5533
33 O 0.6602 0.4741 0.8319
34 O 0.8644 0.3736 0.9467
35 O 0.8786 0.6032 0.1682
36 O 0.9234 0.0169 0.0492
37 O 0.9393 0.5821 0.3415
38 O 0.9831 0.0766 0.4508

Largest 8 diffraction maxima, in order of rising 2θ, 2θ = 5–70°:
8.81 deg, I 641
19.88 deg, I 744
23.73 deg, I 551
25.53 deg, I 719
27.66 deg, I 656
29.75 deg, I 621
34.92 deg, I 1000
42.16 deg, I 543

---

Record 6
# Li4Be3P3ClO12
Simulated PXRD pattern, Cu Kα (weighted mean of Kα1 and Kα2). Input: a PBE-relaxed structure.

Crystal structure
a = 8.1147 Å, b = 8.1147 Å, c = 8.1147 Å
α = 90.00°, β = 90.00°, γ = 90.00°
Sites, in units of the cell vectors:
1 Li 0.1752 0.1752 0.1752
2 Li 0.1752 0.8248 0.8248
3 Li 0.3248 0.3248 0.6752
4 Li 0.3248 0.6752 0.3248
5 Li 0.6752 0.3248 0.3248
6 Li 0.6752 0.6752 0.6752
7 Li 0.8248 0.1752 0.8248
8 Li 0.8248 0.8248 0.1752
9 Be 0.0000 0.2500 0.5000
10 Be 0.0000 0.7500 0.5000
11 Be 0.2500 0.5000 0.0000
12 Be 0.5000 0.0000 0.2500
13 Be 0.5000 0.0000 0.7500
14 Be 0.7500 0.5000 0.0000
15 P 0.0000 0.5000 0.2500
16 P 0.0000 0.5000 0.7500
17 P 0.2500 0.0000 0.5000
18 P 0.5000 0.2500 0.0000
19 P 0.5000 0.7500 0.0000
20 P 0.7500 0.0000 0.5000
21 Cl 0.0000 0.0000 0.0000
22 Cl 0.5000 0.5000 0.5000
23 O 0.0826 0.3641 0.6440
24 O 0.0826 0.6359 0.3560
25 O 0.1359 0.4174 0.1440
26 O 0.1359 0.5826 0.8560
27 O 0.1440 0.1359 0.4174
28 O 0.1440 0.8641 0.5826
29 O 0.3560 0.0826 0.6359
30 O 0.3560 0.9174 0.3641
31 O 0.3641 0.3560 0.9174
32 O 0.3641 0.6440 0.0826
33 O 0.4174 0.1440 0.1359
34 O 0.4174 0.8560 0.8641
35 O 0.5826 0.1440 0.8641
36 O 0.5826 0.8560 0.1359
37 O 0.6359 0.3560 0.0826
38 O 0.6359 0.6440 0.9174
39 O 0.6440 0.0826 0.3641
40 O 0.6440 0.9174 0.6359
41 O 0.8560 0.1359 0.5826
42 O 0.8560 0.8641 0.4174
43 O 0.8641 0.4174 0.8560
44 O 0.8641 0.5826 0.1440
45 O 0.9174 0.3641 0.3560
46 O 0.9174 0.6359 0.6440

Largest 8 diffraction maxima, in order of rising 2θ, 2θ = 5–70°:
15.44 deg, I 417
21.91 deg, I 207
24.53 deg, I 358
26.91 deg, I 1000
38.43 deg, I 317
41.64 deg, I 213
47.54 deg, I 150
65.02 deg, I 183

---

Record 7
# GdTc3
Simulated PXRD pattern, Cu Kα (weighted mean of Kα1 and Kα2). Input: a PBE-relaxed structure.

Crystal structure
a = 4.5607 Å, b = 4.5607 Å, c = 6.5116 Å
α = 90.00°, β = 90.00°, γ = 90.00°
Sites, in units of the cell vectors:
1 Gd 0.0000 0.0000 0.0000
2 Gd 0.5000 0.5000 0.5000
3 Tc 0.0000 0.0000 0.5000
4 Tc 0.0000 0.5000 0.2500
5 Tc 0.0000 0.5000 0.7500
6 Tc 0.5000 0.0000 0.2500
7 Tc 0.5000 0.0000 0.7500
8 Tc 0.5000 0.5000 0.0000

Largest 8 diffraction maxima, in order of rising 2θ, 2θ = 5–70°:
23.82 deg, I 49
27.66 deg, I 17
39.32 deg, I 1000
39.52 deg, I 493
46.33 deg, I 9
46.67 deg, I 18
56.53 deg, I 85
57.12 deg, I 165

---

Record 8
# NaLaMg6
Simulated PXRD pattern, Cu Kα (weighted mean of Kα1 and Kα2). Input: a PBE-relaxed structure.

Crystal structure
a = 5.2876 Å, b = 6.8910 Å, c = 11.7685 Å
α = 90.00°, β = 90.00°, γ = 90.00°
Sites, in units of the cell vectors:
1 Na 0.0000 0.0000 0.0000
2 Na 0.0000 0.5000 0.5000
3 La 0.0000 0.0000 0.5005
4 La 0.0000 0.5000 0.0005
5 Mg 0.0000 0.2442 0.2468
6 Mg 0.0000 0.2558 0.7468
7 Mg 0.0000 0.7442 0.7468
8 Mg 0.0000 0.7558 0.2468
9 Mg 0.5000 0.0000 0.3274
10 Mg 0.5000 0.0000 0.8296
11 Mg 0.5000 0.2457 0.0873
12 Mg 0.5000 0.2543 0.5873
13 Mg 0.5000 0.5000 0.3296
14 Mg 0.5000 0.5000 0.8274
15 Mg 0.5000 0.7457 0.5873
16 Mg 0.5000 0.7543 0.0873

Largest 8 diffraction maxima, in order of rising 2θ, 2θ = 5–70°:
14.90 deg, I 608
15.06 deg, I 258
22.50 deg, I 497
30.05 deg, I 319
33.91 deg, I 340
34.61 deg, I 1000
34.90 deg, I 488
65.14 deg, I 339